[1]
Sc2Cd4Pb3: simulated XRD peak list (Cu Kα, 1.54184 Å), based on a GGA-PBE-relaxed structure.
Peak positions follow from Bragg's law for the DFT cell and can differ from measured ones.

Structure:
a b c (Å): 5.9456 5.9456 9.8328
angles (deg): 112.13 112.13 44.26
Positions (direct):
Sc 0.1544 0.1544 0.2135
Sc 0.8456 0.8456 0.7865
Cd 0.1735 0.1735 0.8936
Cd 0.4846 0.4846 0.3217
Cd 0.5154 0.5154 0.6783
Cd 0.8265 0.8265 0.1064
Pb 0.1708 0.1708 0.5601
Pb 0.5000 0.5000 0.0000
Pb 0.8292 0.8292 0.4399

Largest 6 diffraction maxima, sorted by position, 2θ = 10–80°:
- d 3.980, 2θ = 22.33°, intensity 25
- d 2.685, 2θ = 33.37°, intensity 100
- d 2.633, 2θ = 34.05°, intensity 97
- d 2.488, 2θ = 36.10°, intensity 41
- d 2.240, 2θ = 40.27°, intensity 31
- d 2.209, 2θ = 40.86°, intensity 28

---

[2]
Li7PmAg4: simulated XRD peak list (Cu Kα, 1.54184 Å), based on a GGA-PBE-relaxed structure.
Peak positions follow from Bragg's law for the DFT cell and can differ from measured ones.

Structure:
a b c (Å): 6.7961 6.7961 9.1311
angles (deg): 123.29 123.29 43.02
Positions (direct):
Li 0.0000 0.0000 0.0000
Li 0.1774 0.1774 0.6126
Li 0.2801 0.2801 0.1318
Li 0.4416 0.4416 0.5997
Li 0.5584 0.5584 0.4003
Li 0.7199 0.7199 0.8682
Li 0.8226 0.8226 0.3874
Pm 0.5000 0.5000 0.0000
Ag 0.0712 0.0712 0.7878
Ag 0.1897 0.1897 0.3373
Ag 0.8103 0.8103 0.6627
Ag 0.9288 0.9288 0.2122

Largest 6 diffraction maxima, sorted by position, 2θ = 10–80°:
- d 6.273, 2θ = 14.12°, intensity 34
- d 3.295, 2θ = 27.06°, intensity 100
- d 3.195, 2θ = 27.93°, intensity 28
- d 2.811, 2θ = 31.84°, intensity 19
- d 2.492, 2θ = 36.05°, intensity 29
- d 2.132, 2θ = 42.41°, intensity 25

---

[3]
Ca2Hg3Pb2: simulated XRD peak list (Cu Kα, 1.54184 Å), based on a GGA-PBE-relaxed structure.
Peak positions follow from Bragg's law for the DFT cell and can differ from measured ones.

Structure:
a b c (Å): 8.1424 8.1424 8.1424
angles (deg): 109.47 109.47 109.47
Positions (direct):
Ca 0.0000 0.0423 0.5000
Ca 0.0423 0.5000 0.0000
Ca 0.4577 0.4577 0.4577
Ca 0.5000 0.0000 0.0423
Hg 0.2246 0.9746 0.2500
Hg 0.2500 0.2246 0.9746
Hg 0.2754 0.5254 0.7500
Hg 0.5254 0.7500 0.2754
Hg 0.7500 0.2754 0.5254
Hg 0.9746 0.2500 0.2246
Pb 0.0000 0.6458 0.5000
Pb 0.5000 0.0000 0.6458
Pb 0.6458 0.5000 0.0000
Pb 0.8542 0.8542 0.8542

Largest 6 diffraction maxima, sorted by position, 2θ = 10–80°:
- d 4.701, 2θ = 18.88°, intensity 42
- d 2.973, 2θ = 30.06°, intensity 100
- d 2.714, 2θ = 33.00°, intensity 41
- d 2.513, 2θ = 35.73°, intensity 78
- d 1.844, 2θ = 49.43°, intensity 41
- d 1.417, 2θ = 65.90°, intensity 24

---

[4]
Ca4Ge2Au5: simulated XRD peak list (Cu Kα, 1.54184 Å), based on a GGA-PBE-relaxed structure.
Peak positions follow from Bragg's law for the DFT cell and can differ from measured ones.

Structure:
a b c (Å): 7.2768 4.1042 8.5885
angles (deg): 90.00 92.49 90.00
Positions (direct):
Ca 0.2179 0.0000 0.3726
Ca 0.2568 0.0000 0.9017
Ca 0.7432 0.0000 0.0983
Ca 0.7821 0.0000 0.6274
Ge 0.0705 0.5000 0.1315
Ge 0.9295 0.5000 0.8685
Au 0.1487 0.5000 0.6338
Au 0.4363 0.5000 0.1603
Au 0.5000 0.5000 0.5000
Au 0.5637 0.5000 0.8397
Au 0.8513 0.5000 0.3662

Largest 6 diffraction maxima, sorted by position, 2θ = 10–80°:
- d 4.104, 2θ = 21.65°, intensity 100
- d 2.775, 2θ = 32.26°, intensity 30
- d 2.719, 2θ = 32.94°, intensity 74
- d 2.622, 2θ = 34.20°, intensity 32
- d 2.210, 2θ = 40.83°, intensity 23
- d 2.052, 2θ = 44.13°, intensity 29

---

[5]
Ba2In2Au5: simulated XRD peak list (Cu Kα, 1.54184 Å), based on a GGA-PBE-relaxed structure.
Peak positions follow from Bragg's law for the DFT cell and can differ from measured ones.

Structure:
a b c (Å): 5.2369 5.2369 8.9463
angles (deg): 90.00 90.00 90.00
Positions (direct):
Ba 0.0000 0.0000 0.0000
Ba 0.0000 0.0000 0.5000
In 0.5000 0.5000 0.1700
In 0.5000 0.5000 0.8300
Au 0.0000 0.5000 0.2652
Au 0.0000 0.5000 0.7348
Au 0.5000 0.0000 0.2652
Au 0.5000 0.0000 0.7348
Au 0.5000 0.5000 0.5000

Largest 6 diffraction maxima, sorted by position, 2θ = 10–80°:
- d 2.852, 2θ = 31.36°, intensity 100
- d 2.618, 2θ = 34.25°, intensity 71
- d 2.323, 2θ = 38.77°, intensity 20
- d 1.852, 2θ = 49.21°, intensity 26
- d 1.701, 2θ = 53.91°, intensity 21
- d 1.553, 2θ = 59.52°, intensity 33

---

[6]
BaLiTmI6: simulated XRD peak list (Cu Kα, 1.54184 Å), based on a GGA-PBE-relaxed structure.
Peak positions follow from Bragg's law for the DFT cell and can differ from measured ones.

Structure:
a b c (Å): 7.8000 7.8000 14.9749
angles (deg): 90.00 90.00 120.00
Positions (direct):
Ba 0.0000 0.0000 0.0000
Ba 0.0000 0.0000 0.5000
Li 0.3333 0.6667 0.2500
Li 0.6667 0.3333 0.7500
Tm 0.3333 0.6667 0.7500
Tm 0.6667 0.3333 0.2500
I 0.0016 0.3661 0.6355
I 0.0016 0.6355 0.8645
I 0.3645 0.3661 0.8645
I 0.3645 0.9984 0.6355
I 0.3661 0.0016 0.1355
I 0.3661 0.3645 0.3645
I 0.6339 0.6355 0.6355
I 0.6339 0.9984 0.8645
I 0.6355 0.0016 0.3645
I 0.6355 0.6339 0.1355
I 0.9984 0.3645 0.1355
I 0.9984 0.6339 0.3645

Largest 6 diffraction maxima, sorted by position, 2θ = 10–80°:
- d 6.157, 2θ = 14.38°, intensity 20
- d 5.016, 2θ = 17.68°, intensity 33
- d 3.459, 2θ = 25.76°, intensity 100
- d 2.701, 2θ = 33.17°, intensity 61
- d 2.252, 2θ = 40.04°, intensity 37
- d 2.102, 2θ = 43.03°, intensity 24

---

[7]
KLi2Cd: simulated XRD peak list (Cu Kα, 1.54184 Å), based on a GGA-PBE-relaxed structure.
Peak positions follow from Bragg's law for the DFT cell and can differ from measured ones.

Structure:
a b c (Å): 3.4606 6.1170 11.3417
angles (deg): 90.00 90.00 90.00
Positions (direct):
K 0.0000 0.0000 0.0000
K 0.5000 0.5000 0.5000
Li 0.0000 0.5000 0.2070
Li 0.0000 0.5000 0.7930
Li 0.5000 0.0000 0.2930
Li 0.5000 0.0000 0.7070
Cd 0.0000 0.0000 0.5000
Cd 0.5000 0.5000 0.0000

Largest 6 diffraction maxima, sorted by position, 2θ = 10–80°:
- d 5.671, 2θ = 15.63°, intensity 100
- d 5.384, 2θ = 16.47°, intensity 45
- d 3.012, 2θ = 29.66°, intensity 42
- d 2.692, 2θ = 33.28°, intensity 31
- d 2.660, 2θ = 33.69°, intensity 75
- d 2.065, 2θ = 43.85°, intensity 29

---

[8]
La2CoSi4Ir3: simulated XRD peak list (Cu Kα, 1.54184 Å), based on a GGA-PBE-relaxed structure.
Peak positions follow from Bragg's law for the DFT cell and can differ from measured ones.

Structure:
a b c (Å): 4.1936 4.1936 9.9505
angles (deg): 90.00 90.00 90.00
Positions (direct):
La 0.0000 0.5000 0.2476
La 0.5000 0.0000 0.7524
Co 0.0000 0.0000 0.5000
Si 0.0000 0.0000 0.0000
Si 0.0000 0.5000 0.6235
Si 0.5000 0.0000 0.3765
Si 0.5000 0.5000 0.0000
Ir 0.0000 0.5000 0.8727
Ir 0.5000 0.0000 0.1273
Ir 0.5000 0.5000 0.5000

Largest 6 diffraction maxima, sorted by position, 2θ = 10–80°:
- d 3.206, 2θ = 27.82°, intensity 57
- d 2.842, 2θ = 31.48°, intensity 65
- d 2.601, 2θ = 34.48°, intensity 100
- d 2.547, 2θ = 35.23°, intensity 97
- d 2.097, 2θ = 43.14°, intensity 81
- d 1.633, 2θ = 56.36°, intensity 49

---

[9]
LaCdGe2Rh5: simulated XRD peak list (Cu Kα, 1.54184 Å), based on a GGA-PBE-relaxed structure.
Peak positions follow from Bragg's law for the DFT cell and can differ from measured ones.

Structure:
a b c (Å): 4.6321 4.6321 7.5615
angles (deg): 90.00 90.00 90.00
Positions (direct):
La 0.0000 0.0000 0.0000
Cd 0.0000 0.0000 0.5000
Ge 0.5000 0.5000 0.3288
Ge 0.5000 0.5000 0.6712
Rh 0.0000 0.5000 0.2668
Rh 0.0000 0.5000 0.7332
Rh 0.5000 0.0000 0.2668
Rh 0.5000 0.0000 0.7332
Rh 0.5000 0.5000 0.0000

Largest 6 diffraction maxima, sorted by position, 2θ = 10–80°:
- d 2.929, 2θ = 30.52°, intensity 18
- d 2.476, 2θ = 36.29°, intensity 100
- d 2.316, 2θ = 38.88°, intensity 75
- d 1.638, 2θ = 56.16°, intensity 26
- d 1.464, 2θ = 63.53°, intensity 19
- d 1.366, 2θ = 68.72°, intensity 30

---

[10]
Tb4HoTe5: simulated XRD peak list (Cu Kα, 1.54184 Å), based on a GGA-PBE-relaxed structure.
Peak positions follow from Bragg's law for the DFT cell and can differ from measured ones.

Structure:
a b c (Å): 7.5601 7.5601 7.5601
angles (deg): 99.59 99.59 131.81
Positions (direct):
Tb 0.0952 0.3100 0.4052
Tb 0.3100 0.9048 0.2148
Tb 0.6900 0.0952 0.7852
Tb 0.9048 0.6900 0.5948
Ho 0.5000 0.5000 0.0000
Te 0.0000 0.0000 0.0000
Te 0.2064 0.6052 0.8116
Te 0.3948 0.2064 0.6012
Te 0.6052 0.7936 0.3988
Te 0.7936 0.3948 0.1884

Largest 6 diffraction maxima, sorted by position, 2θ = 10–80°:
- d 3.086, 2θ = 28.93°, intensity 100
- d 2.182, 2θ = 41.37°, intensity 75
- d 1.782, 2θ = 51.27°, intensity 27
- d 1.543, 2θ = 59.94°, intensity 12
- d 1.380, 2θ = 67.91°, intensity 33
- d 1.260, 2θ = 75.44°, intensity 24

---

[11]
EuTm2Lu: simulated XRD peak list (Cu Kα, 1.54184 Å), based on a GGA-PBE-relaxed structure.
Peak positions follow from Bragg's law for the DFT cell and can differ from measured ones.

Structure:
a b c (Å): 5.7876 5.7876 3.8053
angles (deg): 90.00 90.00 90.00
Positions (direct):
Eu 0.0000 0.0000 0.0000
Tm 0.0000 0.5000 0.5000
Tm 0.5000 0.0000 0.5000
Lu 0.5000 0.5000 0.0000

Largest 6 diffraction maxima, sorted by position, 2θ = 10–80°:
- d 2.894, 2θ = 30.90°, intensity 55
- d 2.787, 2θ = 32.12°, intensity 100
- d 2.046, 2θ = 44.27°, intensity 21
- d 1.649, 2θ = 55.73°, intensity 42
- d 1.590, 2θ = 58.01°, intensity 19
- d 1.393, 2θ = 67.18°, intensity 12

---

[12]
PmSm5Tl: simulated XRD peak list (Cu Kα, 1.54184 Å), based on a GGA-PBE-relaxed structure.
Peak positions follow from Bragg's law for the DFT cell and can differ from measured ones.

Structure:
a b c (Å): 5.7777 5.7777 7.2251
angles (deg): 90.00 90.00 90.00
Positions (direct):
Pm 0.0000 0.0000 0.0000
Sm 0.0000 0.5000 0.2446
Sm 0.0000 0.5000 0.7554
Sm 0.5000 0.0000 0.2446
Sm 0.5000 0.0000 0.7554
Sm 0.5000 0.5000 0.5000
Tl 0.0000 0.0000 0.5000

Largest 6 diffraction maxima, sorted by position, 2θ = 10–80°:
- d 2.889, 2θ = 30.96°, intensity 60
- d 2.706, 2θ = 33.10°, intensity 100
- d 2.043, 2θ = 44.35°, intensity 22
- d 1.630, 2θ = 56.44°, intensity 44
- d 1.532, 2θ = 60.45°, intensity 18
- d 1.353, 2θ = 69.46°, intensity 12

---

[13]
Tl2AuBr5: simulated XRD peak list (Cu Kα, 1.54184 Å), based on a GGA-PBE-relaxed structure.
Peak positions follow from Bragg's law for the DFT cell and can differ from measured ones.

Structure:
a b c (Å): 10.0236 8.9325 7.7613
angles (deg): 90.00 122.14 90.00
Positions (direct):
Tl 0.2386 0.0000 0.3506
Tl 0.2614 0.5000 0.6494
Tl 0.7386 0.5000 0.3506
Tl 0.7614 0.0000 0.6494
Au 0.0000 0.5000 0.0000
Au 0.5000 0.0000 0.0000
Br 0.0000 0.0000 0.5000
Br 0.0064 0.3022 0.7766
Br 0.0064 0.6978 0.7766
Br 0.4936 0.1978 0.2234
Br 0.4936 0.8022 0.2234
Br 0.5000 0.5000 0.5000
Br 0.5064 0.1978 0.7766
Br 0.5064 0.8022 0.7766
Br 0.9936 0.3022 0.2234
Br 0.9936 0.6978 0.2234

Largest 6 diffraction maxima, sorted by position, 2θ = 10–80°:
- d 4.967, 2θ = 17.86°, intensity 40
- d 3.817, 2θ = 23.30°, intensity 100
- d 3.516, 2θ = 25.33°, intensity 32
- d 3.110, 2θ = 28.71°, intensity 44
- d 2.863, 2θ = 31.24°, intensity 42
- d 2.350, 2θ = 38.31°, intensity 40

---

[14]
Sr6GaAg2: simulated XRD peak list (Cu Kα, 1.54184 Å), based on a GGA-PBE-relaxed structure.
Peak positions follow from Bragg's law for the DFT cell and can differ from measured ones.

Structure:
a b c (Å): 11.0795 8.9081 7.6930
angles (deg): 83.39 53.00 43.61
Positions (direct):
Sr 0.1318 0.8682 0.1318
Sr 0.2024 0.4666 0.5334
Sr 0.4666 0.2024 0.7976
Sr 0.5334 0.7976 0.2024
Sr 0.7976 0.5334 0.4666
Sr 0.8682 0.1318 0.8682
Ga 0.5000 0.5000 0.5000
Ag 0.1652 0.1652 0.8348
Ag 0.8348 0.8348 0.1652

Largest 6 diffraction maxima, sorted by position, 2θ = 10–80°:
- d 7.162, 2θ = 12.36°, intensity 23
- d 3.057, 2θ = 29.22°, intensity 100
- d 2.818, 2θ = 31.76°, intensity 27
- d 2.809, 2θ = 31.86°, intensity 26
- d 2.325, 2θ = 38.73°, intensity 30
- d 1.989, 2θ = 45.60°, intensity 19